For LiTaBe, a cell relaxed with PBE gives the simulated powder XRD pattern in this record (Cu Kα, 1.54184 Å).

Main lines, by angle (10 to 80 degrees two-theta):
two_theta, intensity
26.76, 100
31.00, 45
44.41, 44
52.61, 48
55.15, 12
64.62, 7
71.24, 19
73.39, 16

Structure:
abc: 5.769 5.769 5.769
angles: 90.00 90.00 90.00
Element x y z (fractional)
1 Li 0.000 0.000 0.000
2 Li 0.000 0.500 0.500
3 Li 0.500 0.000 0.500
4 Li 0.500 0.500 0.000
5 Ta 0.250 0.250 0.750
6 Ta 0.250 0.750 0.250
7 Ta 0.750 0.250 0.250
8 Ta 0.750 0.750 0.750
9 Be 0.000 0.000 0.500
10 Be 0.000 0.500 0.000
11 Be 0.500 0.000 0.000
12 Be 0.500 0.500 0.500


For LuBe13, a cell relaxed with PBE gives the simulated powder XRD pattern in this record (Cu Kα, 1.54184 Å).

Main lines, by angle (10 to 80 degrees two-theta):
two_theta, intensity
17.55, 93
24.91, 100
30.63, 44
35.52, 22
39.88, 71
43.87, 60
54.46, 24
57.67, 25
60.77, 16
66.72, 16
69.59, 28
77.93, 20

Structure:
abc: 7.148 7.148 7.148
angles: 60.00 60.00 60.00
Element x y z (fractional)
1 Lu 0.250 0.250 0.250
2 Lu 0.750 0.750 0.750
3 Be 0.000 0.000 0.000
4 Be 0.062 0.291 0.709
5 Be 0.062 0.709 0.938
6 Be 0.062 0.938 0.291
7 Be 0.209 0.438 0.791
8 Be 0.209 0.562 0.438
9 Be 0.209 0.791 0.562
10 Be 0.291 0.062 0.938
11 Be 0.291 0.709 0.062
12 Be 0.291 0.938 0.709
13 Be 0.438 0.209 0.562
14 Be 0.438 0.562 0.791
15 Be 0.438 0.791 0.209
16 Be 0.500 0.500 0.500
17 Be 0.562 0.209 0.791
18 Be 0.562 0.438 0.209
19 Be 0.562 0.791 0.438
20 Be 0.709 0.062 0.291
21 Be 0.709 0.291 0.938
22 Be 0.709 0.938 0.062
23 Be 0.791 0.209 0.438
24 Be 0.791 0.438 0.562
25 Be 0.791 0.562 0.209
26 Be 0.938 0.062 0.709
27 Be 0.938 0.291 0.062
28 Be 0.938 0.709 0.291